Ba4Sr4CoCu7O24: calculated powder X-ray diffraction pattern (Cu Kα X-rays), based on a crystal structure in Alexandria, relaxed with PBE+U.
No peak broadening, texture or thermal motion is included.

Peak list (6 most intense, 10° ≤ 2θ ≤ 80°, low angle first)
Position (°2θ)  I_rel
32.0  100
39.5  11
45.9  34
57.1  38
67.0  20
76.2  8

Structure:
```
data_Ba4Sr4CoCu7O24
_symmetry_space_group_name_H-M 'P 1'
_symmetry_Int_Tables_number 1
_cell_length_a 7.898
_cell_length_b 7.898
_cell_length_c 7.907
_cell_angle_alpha 90.05
_cell_angle_beta 90.05
_cell_angle_gamma 89.99
loop_
_symmetry_equiv_pos_as_xyz
'x,y,z'
loop_
_atom_site_label
_atom_site_fract_x
_atom_site_fract_y
_atom_site_fract_z
Ba1 0.000 0.000 0.000
Ba2 0.001 0.502 0.498
Ba3 0.502 0.001 0.498
Ba4 0.503 0.503 0.497
Sr1 0.000 0.000 0.497
Sr2 0.503 0.503 0.000
Sr3 0.504 0.998 0.001
Sr4 0.998 0.504 0.001
Co1 0.252 0.252 0.754
Cu1 0.251 0.251 0.250
Cu2 0.251 0.751 0.249
Cu3 0.251 0.752 0.749
Cu4 0.751 0.251 0.249
Cu5 0.751 0.751 0.249
Cu6 0.751 0.751 0.749
Cu7 0.752 0.251 0.749
O1 0.001 0.749 0.244
O2 0.002 0.253 0.246
O3 0.002 0.749 0.754
O4 0.007 0.252 0.752
O5 0.245 0.758 0.500
O6 0.248 0.248 0.503
O7 0.252 0.007 0.752
O8 0.252 0.496 0.756
O9 0.252 0.501 0.236
O10 0.253 0.002 0.246
O11 0.254 0.254 0.995
O12 0.256 0.746 0.998
O13 0.496 0.252 0.756
O14 0.500 0.751 0.762
O15 0.501 0.252 0.236
O16 0.501 0.750 0.236
O17 0.746 0.256 0.998
O18 0.747 0.747 0.999
O19 0.749 0.001 0.244
O20 0.749 0.002 0.754
O21 0.750 0.501 0.236
O22 0.751 0.500 0.762
O23 0.758 0.245 0.500
O24 0.758 0.758 0.499
```